This entry pairs a crystal structure of LiTmCoF6 with its calculated XRD peak list. Radiation: CuKα. Structure: a structure optimized by DFT (GGA+U).

Crystal structure
```
data_LiTmCoF6
_cell_length_a 4.8941
_cell_length_b 4.8941
_cell_length_c 9.7119
_cell_angle_alpha 90.00
_cell_angle_beta 90.00
_cell_angle_gamma 90.00
_symmetry_space_group_name_H-M 'P 42 n m'
_symmetry_Int_Tables_number 102
loop_
_symmetry_equiv_pos_as_xyz
'x,y,z'
'-y+1/2,x+1/2,z+1/2'
'-x,-y,z'
'y+1/2,-x+1/2,z+1/2'
'-x+1/2,y+1/2,z+1/2'
'y,x,z'
'x+1/2,-y+1/2,z+1/2'
'-y,-x,z'
loop_
_atom_site_label
_atom_site_fract_x
_atom_site_fract_y
_atom_site_fract_z
_atom_site_occupancy
Li1 0.0000 0.0000 0.0000 1
Tm1 0.0000 0.0000 0.6632 1
Co1 0.0000 0.0000 0.3297 1
F1 0.1898 0.1898 0.1649 1
F2 0.1984 0.1984 0.4919 1
F3 0.2043 0.2043 0.8306 1
```

Main lines, low angle first (5 to 70 degrees two-theta):
- 4.856 Å, I 32.5, hkl 0 0 2
- 4.371 Å, I 100.0, hkl 1 0 1
- 3.461 Å, I 90.3, hkl 1 1 0
- 2.818 Å, I 35.4, hkl 1 1 2
- 2.700 Å, I 58.3, hkl 1 0 3
- 2.186 Å, I 21.7, hkl 2 0 2
- 2.135 Å, I 32.1, hkl 2 1 1
- 1.988 Å, I 13.1, hkl 1 1 4
- 1.813 Å, I 63.7, hkl 2 1 3
- 1.730 Å, I 18.0, hkl 2 2 0
- 1.466 Å, I 13.7, hkl 1 1 6
- 1.457 Å, I 22.1, hkl 3 0 3